Record 1
This entry pairs a crystal structure of KMg14Nb with its computed powder X-ray diffraction pattern. Radiation: Cu Kα X-rays. Structure: the GGA-PBE geometry in the Materials Project.
Peak positions follow from Bragg's law for the DFT cell and can differ from measured ones.

Largest 8 diffraction maxima, sorted by position, 2θ = 10–90°:
2theta, intensity
31.3, 24
32.1, 17
35.0, 35
36.0, 100
36.7, 43
56.8, 16
63.5, 18
68.5, 17

```
data_KMg14Nb
_chemical_formula_sum 'K1 Mg14 Nb1'
_cell_length_a 10.2499
_cell_length_b 6.4874
_cell_length_c 6.4874
_cell_angle_alpha 61.70
_cell_angle_beta 90.00
_cell_angle_gamma 90.00
_space_group_name_H-M_alt 'P 1'
_space_group_IT_number 1
_space_group_name_Hall 'P 1'
loop_
_atom_site_label
_atom_site_type_symbol
_atom_site_fract_x
_atom_site_fract_y
_atom_site_fract_z
_atom_site_occupancy
K1 K 0.0000 0.0000 0.0000 1
Mg1 Mg 0.0000 0.9997 0.5000 1
Mg2 Mg 0.0000 0.5000 0.9997 1
Mg3 Mg 0.2411 0.6605 0.6605 1
Mg4 Mg 0.2538 0.1816 0.6519 1
Mg5 Mg 0.2538 0.6519 0.1816 1
Mg6 Mg 0.2624 0.1719 0.1719 1
Mg7 Mg 0.5000 0.4991 0.4991 1
Mg8 Mg 0.5000 0.5024 0.9941 1
Mg9 Mg 0.5000 0.9941 0.5024 1
Mg10 Mg 0.5000 0.9967 0.9967 1
Mg11 Mg 0.7376 0.1719 0.1719 1
Mg12 Mg 0.7462 0.1816 0.6519 1
Mg13 Mg 0.7462 0.6519 0.1816 1
Mg14 Mg 0.7589 0.6605 0.6605 1
Nb1 Nb 0.0000 0.4887 0.4887 1
```

***

Record 2
This entry pairs a crystal structure of DyP5 with its computed powder X-ray diffraction pattern. Radiation: Cu Kα X-rays. Structure: the GGA-PBE geometry in the Materials Project.
Peak positions follow from Bragg's law for the DFT cell and can differ from measured ones.

Largest 8 diffraction maxima, sorted by position, 2θ = 10–90°:
2theta, intensity
18.8, 35
19.4, 52
24.2, 64
26.4, 100
29.2, 95
33.2, 34
35.6, 46
42.0, 44

```
data_DyP5
_chemical_formula_sum 'Dy2 P10'
_cell_length_a 4.9527
_cell_length_b 9.4295
_cell_length_c 5.3574
_cell_angle_alpha 90.00
_cell_angle_beta 102.22
_cell_angle_gamma 90.00
_space_group_name_H-M_alt 'P 1'
_space_group_IT_number 1
_space_group_name_Hall 'P 1'
loop_
_atom_site_label
_atom_site_type_symbol
_atom_site_fract_x
_atom_site_fract_y
_atom_site_fract_z
_atom_site_occupancy
Dy1 Dy 0.0041 0.2500 0.3467 1
Dy2 Dy 0.9959 0.7500 0.6533 1
P1 P 0.2759 0.2500 0.8931 1
P2 P 0.2857 0.5287 0.4050 1
P3 P 0.2857 0.9713 0.4050 1
P4 P 0.3838 0.5926 0.0446 1
P5 P 0.3838 0.9074 0.0446 1
P6 P 0.6162 0.0926 0.9554 1
P7 P 0.6162 0.4074 0.9554 1
P8 P 0.7143 0.0287 0.5950 1
P9 P 0.7143 0.4713 0.5950 1
P10 P 0.7241 0.7500 0.1069 1
```

***

Record 3
This entry pairs a crystal structure of Dy2Sb5 with its computed powder X-ray diffraction pattern. Radiation: Cu Kα X-rays. Structure: the GGA-PBE geometry in the Materials Project.
Peak positions follow from Bragg's law for the DFT cell and can differ from measured ones.

Largest 8 diffraction maxima, sorted by position, 2θ = 10–90°:
2theta, intensity
28.8, 34
29.6, 67
29.9, 83
32.7, 29
34.5, 61
35.0, 100
35.9, 89
42.7, 68

```
data_Dy2Sb5
_chemical_formula_sum 'Dy8 Sb20'
_cell_length_a 13.2084
_cell_length_b 4.2339
_cell_length_c 14.6969
_cell_angle_alpha 90.00
_cell_angle_beta 102.15
_cell_angle_gamma 90.00
_space_group_name_H-M_alt 'P 1'
_space_group_IT_number 1
_space_group_name_Hall 'P 1'
loop_
_atom_site_label
_atom_site_type_symbol
_atom_site_fract_x
_atom_site_fract_y
_atom_site_fract_z
_atom_site_occupancy
Dy1 Dy 0.0473 0.2500 0.3616 1
Dy2 Dy 0.3309 0.2500 0.5776 1
Dy3 Dy 0.3376 0.2500 0.8549 1
Dy4 Dy 0.3932 0.7500 0.2295 1
Dy5 Dy 0.6068 0.2500 0.7705 1
Dy6 Dy 0.6624 0.7500 0.1451 1
Dy7 Dy 0.6691 0.7500 0.4224 1
Dy8 Dy 0.9527 0.7500 0.6384 1
Sb1 Sb 0.0303 0.2500 0.0938 1
Sb2 Sb 0.1383 0.2500 0.6774 1
Sb3 Sb 0.1417 0.7500 0.2208 1
Sb4 Sb 0.1433 0.7500 0.5183 1
Sb5 Sb 0.1521 0.7500 0.8274 1
Sb6 Sb 0.2790 0.2500 0.0617 1
Sb7 Sb 0.2852 0.2500 0.3471 1
Sb8 Sb 0.4198 0.7500 0.0246 1
Sb9 Sb 0.4254 0.7500 0.4491 1
Sb10 Sb 0.4245 0.7500 0.7345 1
Sb11 Sb 0.5755 0.2500 0.2655 1
Sb12 Sb 0.5746 0.2500 0.5509 1
Sb13 Sb 0.5802 0.2500 0.9754 1
Sb14 Sb 0.7148 0.7500 0.6529 1
Sb15 Sb 0.7210 0.7500 0.9383 1
Sb16 Sb 0.8479 0.2500 0.1726 1
Sb17 Sb 0.8567 0.2500 0.4817 1
Sb18 Sb 0.8583 0.2500 0.7792 1
Sb19 Sb 0.8617 0.7500 0.3226 1
Sb20 Sb 0.9697 0.7500 0.9062 1
```

***

Record 4
This entry pairs a crystal structure of W7N6 with its computed powder X-ray diffraction pattern. Radiation: Cu Kα X-rays. Structure: the GGA-PBE geometry in the Materials Project.
Peak positions follow from Bragg's law for the DFT cell and can differ from measured ones.

Largest 8 diffraction maxima, sorted by position, 2θ = 10–90°:
2theta, intensity
31.2, 53
35.9, 58
36.5, 100
44.2, 73
48.3, 72
53.0, 25
64.6, 38
73.5, 29

```
data_W7N6
_chemical_formula_sum 'W14 N12'
_cell_length_a 2.8866
_cell_length_b 2.8866
_cell_length_c 42.9929
_cell_angle_alpha 90.00
_cell_angle_beta 90.00
_cell_angle_gamma 120.00
_space_group_name_H-M_alt 'P 1'
_space_group_IT_number 1
_space_group_name_Hall 'P 1'
loop_
_atom_site_label
_atom_site_type_symbol
_atom_site_fract_x
_atom_site_fract_y
_atom_site_fract_z
_atom_site_occupancy
W1 W 0.0000 0.0000 0.0000 1
W2 W 0.0000 0.0000 0.0661 1
W3 W 0.0000 0.0000 0.1334 1
W4 W 0.0000 0.0000 0.3298 1
W5 W 0.0000 0.0000 0.3970 1
W6 W 0.0000 0.0000 0.4649 1
W7 W 0.0000 0.0000 0.6624 1
W8 W 0.0000 0.0000 0.7301 1
W9 W 0.3333 0.6667 0.2107 1
W10 W 0.3333 0.6667 0.2774 1
W11 W 0.3333 0.6667 0.5427 1
W12 W 0.3333 0.6667 0.6090 1
W13 W 0.3333 0.6667 0.8798 1
W14 W 0.3333 0.6667 0.9472 1
N1 N 0.0000 0.0000 0.1814 1
N2 N 0.0000 0.0000 0.2433 1
N3 N 0.0000 0.0000 0.5134 1
N4 N 0.0000 0.0000 0.5758 1
N5 N 0.0000 0.0000 0.8536 1
N6 N 0.0000 0.0000 0.9151 1
N7 N 0.3333 0.6667 0.0333 1
N8 N 0.3333 0.6667 0.0989 1
N9 N 0.3333 0.6667 0.3642 1
N10 N 0.3333 0.6667 0.4303 1
N11 N 0.3333 0.6667 0.6946 1
N12 N 0.3333 0.6667 0.7564 1
```

***

Record 5
This entry pairs a crystal structure of Hg with its computed powder X-ray diffraction pattern. Radiation: Cu Kα X-rays. Structure: the GGA-PBE geometry in the Materials Project.
Peak positions follow from Bragg's law for the DFT cell and can differ from measured ones.

Largest 8 diffraction maxima, sorted by position, 2θ = 10–90°:
2theta, intensity
28.8, 38
31.8, 49
31.9, 100
33.7, 92
50.6, 41
55.6, 20
59.0, 20
61.0, 57

```
data_Hg
_chemical_formula_sum 'Hg3'
_cell_length_a 3.6058
_cell_length_b 3.6058
_cell_length_c 8.6983
_cell_angle_alpha 101.99
_cell_angle_beta 101.99
_cell_angle_gamma 60.06
_space_group_name_H-M_alt 'P 1'
_space_group_IT_number 1
_space_group_name_Hall 'P 1'
loop_
_atom_site_label
_atom_site_type_symbol
_atom_site_fract_x
_atom_site_fract_y
_atom_site_fract_z
_atom_site_occupancy
Hg1 Hg 0.0000 0.0000 0.0000 1
Hg2 Hg 0.2225 0.2225 0.6637 1
Hg3 Hg 0.7775 0.7775 0.3363 1
```